[1]
Starting from the PBE geometry in Alexandria, the powder X-ray diffraction pattern of Ac2AlHg5 was calculated for copper Kα.
Kinematic intensities with the Lorentz-polarization factor, no thermal factor.

Main lines, by angle (10° ≤ 2θ ≤ 90°):
Position (°2θ), I_rel
30.27, 16
31.39, 18
31.93, 85
32.03, 100
36.20, 33
36.58, 31
38.47, 25
54.13, 15

Crystal structure
a = 6.7847 Å, b = 6.7859 Å, c = 6.8122 Å
α = 118.03°, β = 118.36°, γ = 92.78°
Atoms (fractional coordinates):
Ac (0.0000, 0.0000, 0.0000)
Ac (0.4995, 0.3859, 0.8913)
Al (0.5049, 0.9032, 0.4011)
Hg (0.0442, 0.4968, 0.9871)
Hg (0.4792, 0.9263, 0.9672)
Hg (0.5129, 0.4940, 0.4560)
Hg (0.9626, 0.9297, 0.4510)
Hg (0.9918, 0.4711, 0.4827)

***

[2]
Starting from the PBE geometry in Alexandria, the powder X-ray diffraction pattern of HoEr2Zn6 was calculated for copper Kα.
Kinematic intensities with the Lorentz-polarization factor, no thermal factor.

Main lines, by angle (10° ≤ 2θ ≤ 90°):
Position (°2θ), I_rel
23.05, 22
34.80, 100
40.50, 56
52.83, 8
54.43, 28
68.62, 23
70.00, 26
73.66, 9

Crystal structure
a = 7.7165 Å, b = 7.7165 Å, c = 3.4655 Å
α = 90.00°, β = 90.00°, γ = 120.00°
Atoms (fractional coordinates):
Ho (0.0000, 0.0000, 0.0000)
Er (0.3333, 0.6667, 0.0000)
Er (0.6667, 0.3333, 0.0000)
Zn (0.0000, 0.3337, 0.5000)
Zn (0.0000, 0.6663, 0.5000)
Zn (0.3337, 0.0000, 0.5000)
Zn (0.3337, 0.3337, 0.5000)
Zn (0.6663, 0.0000, 0.5000)
Zn (0.6663, 0.6663, 0.5000)

***

[3]
Starting from the PBE geometry in Alexandria, the powder X-ray diffraction pattern of CsTlGeO3 was calculated for copper Kα.
Kinematic intensities with the Lorentz-polarization factor, no thermal factor.

Main lines, by angle (10° ≤ 2θ ≤ 90°):
Position (°2θ), I_rel
14.40, 33
24.36, 77
24.54, 58
24.74, 52
26.28, 86
32.58, 38
33.46, 100
42.84, 29

Crystal structure
a = 8.4667 Å, b = 8.4667 Å, c = 5.3523 Å
α = 108.18°, β = 108.18°, γ = 118.97°
Atoms (fractional coordinates):
Cs (0.1219, 0.8781, 0.7500)
Cs (0.8781, 0.1219, 0.2500)
Tl (0.3160, 0.6840, 0.2500)
Tl (0.6840, 0.3160, 0.7500)
Ge (0.4610, 0.5390, 0.7500)
Ge (0.5390, 0.4610, 0.2500)
O (0.3000, 0.3650, 0.2663)
O (0.3403, 0.6597, 0.7500)
O (0.3650, 0.3000, 0.7663)
O (0.6350, 0.7000, 0.2337)
O (0.6597, 0.3403, 0.2500)
O (0.7000, 0.6350, 0.7337)